Record 1
Calculated PXRD pattern of DySn3 for copper Kα, from a structure optimized by DFT (GGA-PBE).
No peak broadening, texture or thermal motion is included.

Main lines, most intense first (2θ = 10–90°):
two_theta  d_spacing  Rel. int.
35.08  2.558  1000
31.00  2.885  704
32.34  2.768  424
40.52  2.226  348
40.91  2.206  268
62.01  1.497  253
52.77  1.735  218
53.08  1.725  214

Atomic structure:
```
DySn3
1.0
4.452 0.000 0.000
0.000 2.206 11.073
0.000 -2.206 11.073
Dy Sn
2 6
Direct
0.000 0.000 0.000 Dy
0.500 0.270 0.270 Dy
0.000 0.383 0.383 Sn
0.000 0.619 0.619 Sn
0.000 0.755 0.755 Sn
0.500 0.120 0.120 Sn
0.500 0.509 0.509 Sn
0.500 0.884 0.884 Sn
```

=====

Record 2
Calculated PXRD pattern of DySn3 for copper Kα, from a structure optimized by DFT (GGA-PBE).
No peak broadening, texture or thermal motion is included.

Main lines, most intense first (2θ = 10–90°):
two_theta  d_spacing  Rel. int.
32.94  2.719  1000
38.22  2.355  504
65.75  1.420  425
55.15  1.665  355
69.08  1.360  123
81.79  1.178  60
18.84  4.710  17
26.77  3.331  14

Atomic structure:
```
DySn3
1.0
4.710 0.000 0.000
0.000 4.710 0.000
0.000 0.000 4.710
Dy Sn
1 3
Direct
0.000 0.000 0.000 Dy
0.000 0.500 0.500 Sn
0.500 0.000 0.500 Sn
0.500 0.500 0.000 Sn
```

=====

Record 3
Calculated PXRD pattern of Dy11Sn10 for copper Kα, from a structure optimized by DFT (GGA-PBE).
No peak broadening, texture or thermal motion is included.

Main lines, most intense first (2θ = 10–90°):
two_theta  d_spacing  Rel. int.
31.83  2.812  1000
31.31  2.857  888
32.59  2.748  750
32.46  2.758  535
32.08  2.790  529
34.97  2.566  510
30.68  2.915  356
64.23  1.450  350

Atomic structure:
```
Dy11Sn10
1.0
-5.829 5.829 8.539
5.829 -5.829 8.539
5.829 5.829 -8.539
Dy Sn
22 20
Direct
0.059 0.311 0.748 Dy
0.102 0.432 0.330 Dy
0.102 0.772 0.670 Dy
0.164 0.164 0.000 Dy
0.228 0.898 0.330 Dy
0.311 0.059 0.748 Dy
0.311 0.563 0.252 Dy
0.325 0.325 0.651 Dy
0.325 0.675 0.000 Dy
0.432 0.102 0.330 Dy
0.437 0.689 0.748 Dy
0.563 0.311 0.252 Dy
0.568 0.898 0.670 Dy
0.675 0.325 0.000 Dy
0.675 0.675 0.349 Dy
0.689 0.437 0.748 Dy
0.689 0.941 0.252 Dy
0.772 0.102 0.670 Dy
0.836 0.836 0.000 Dy
0.898 0.228 0.330 Dy
0.898 0.568 0.670 Dy
0.941 0.689 0.252 Dy
0.031 0.031 0.413 Sn
0.031 0.618 0.000 Sn
0.130 0.130 0.259 Sn
0.130 0.870 0.000 Sn
0.144 0.500 0.644 Sn
0.250 0.750 0.500 Sn
0.382 0.382 0.413 Sn
0.382 0.969 0.000 Sn
0.388 0.388 0.000 Sn
0.500 0.144 0.644 Sn
0.500 0.856 0.356 Sn
0.612 0.612 0.000 Sn
0.618 0.031 0.000 Sn
0.618 0.618 0.587 Sn
0.750 0.250 0.500 Sn
0.856 0.500 0.356 Sn
0.870 0.130 0.000 Sn
0.870 0.870 0.741 Sn
0.969 0.382 0.000 Sn
0.969 0.969 0.587 Sn
```

=====

Record 4
Calculated PXRD pattern of Dy5Sn13 for copper Kα, from a structure optimized by DFT (GGA-PBE).
No peak broadening, texture or thermal motion is included.

Main lines, most intense first (2θ = 10–90°):
two_theta  d_spacing  Rel. int.
34.04  2.634  1000
32.13  2.786  754
69.29  1.356  419
33.21  2.697  400
40.30  2.238  327
41.08  2.197  310
58.90  1.568  252
53.18  1.722  216

Atomic structure:
```
Dy5Sn13
1.0
-2.197 2.238 24.276
2.197 -2.238 24.276
2.197 2.238 -24.276
Dy Sn
5 13
Direct
0.000 0.000 0.000 Dy
0.329 0.829 0.500 Dy
0.397 0.397 0.000 Dy
0.603 0.603 0.000 Dy
0.671 0.171 0.500 Dy
0.053 0.553 0.500 Sn
0.115 0.115 0.000 Sn
0.157 0.657 0.500 Sn
0.220 0.220 0.000 Sn
0.280 0.280 0.000 Sn
0.448 0.948 0.500 Sn
0.500 0.500 0.000 Sn
0.552 0.052 0.500 Sn
0.720 0.720 0.000 Sn
0.780 0.780 0.000 Sn
0.843 0.343 0.500 Sn
0.885 0.885 0.000 Sn
0.947 0.447 0.500 Sn
```

=====

Record 5
Calculated PXRD pattern of DyZnSn for copper Kα, from a structure optimized by DFT (GGA-PBE).
No peak broadening, texture or thermal motion is included.

Main lines, most intense first (2θ = 10–90°):
two_theta  d_spacing  Rel. int.
32.35  2.767  1000
39.78  2.266  614
52.18  1.753  262
67.56  1.387  242
62.86  1.478  164
28.49  3.133  156
46.86  1.939  128
72.21  1.308  107

Atomic structure:
```
DyZnSn
1.0
4.532 0.000 0.000
-2.266 3.925 0.000
0.000 0.000 15.607
Dy Zn Sn
4 4 4
Direct
0.000 0.000 0.000 Dy
0.000 0.000 0.250 Dy
0.000 0.000 0.500 Dy
0.000 0.000 0.750 Dy
0.333 0.667 0.160 Zn
0.333 0.667 0.340 Zn
0.667 0.333 0.660 Zn
0.667 0.333 0.840 Zn
0.333 0.667 0.613 Sn
0.333 0.667 0.887 Sn
0.667 0.333 0.113 Sn
0.667 0.333 0.387 Sn
```

=====

Record 6
Calculated PXRD pattern of DyThTc2 for copper Kα, from a structure optimized by DFT (GGA-PBE).
No peak broadening, texture or thermal motion is included.

Main lines, most intense first (2θ = 10–90°):
two_theta  d_spacing  Rel. int.
36.54  2.459  1000
65.77  1.420  360
52.63  1.739  176
89.01  1.100  165
25.61  3.478  116
77.65  1.230  112
59.43  1.555  52
45.15  2.008  37

Atomic structure:
```
DyThTc2
1.0
0.000 3.478 3.478
3.478 0.000 3.478
3.478 3.478 0.000
Dy Th Tc
1 1 2
Direct
0.000 0.000 0.000 Dy
0.500 0.500 0.500 Th
0.250 0.250 0.250 Tc
0.750 0.750 0.750 Tc
```

=====

Record 7
Calculated PXRD pattern of Dy4Te7 for copper Kα, from a structure optimized by DFT (GGA-PBE).
No peak broadening, texture or thermal motion is included.

Main lines, most intense first (2θ = 10–90°):
two_theta  d_spacing  Rel. int.
35.55  2.525  1000
30.71  2.911  847
36.96  2.432  725
41.38  2.182  709
28.94  3.086  479
56.68  1.624  421
30.52  2.929  312
52.28  1.750  274

Atomic structure:
```
Dy4Te7
1.0
4.364 0.000 0.000
0.000 4.364 0.000
0.000 0.000 17.575
Dy Te
4 7
Direct
0.000 0.500 0.128 Dy
0.000 0.500 0.638 Dy
0.500 0.000 0.362 Dy
0.500 0.000 0.872 Dy
0.000 0.000 0.000 Te
0.000 0.000 0.500 Te
0.000 0.500 0.310 Te
0.000 0.500 0.820 Te
0.500 0.000 0.180 Te
0.500 0.000 0.690 Te
0.500 0.500 0.500 Te
```

=====

Record 8
Calculated PXRD pattern of DyTe for copper Kα, from a structure optimized by DFT (GGA-PBE).
No peak broadening, texture or thermal motion is included.

Main lines, most intense first (2θ = 10–90°):
two_theta  d_spacing  Rel. int.
29.00  3.079  1000
41.47  2.177  760
68.09  1.377  348
51.40  1.778  272
75.65  1.257  258
60.09  1.540  127
25.04  3.556  30
49.06  1.857  16

Atomic structure:
```
DyTe
1.0
0.000 3.079 3.079
3.079 0.000 3.079
3.079 3.079 0.000
Dy Te
1 1
Direct
0.000 0.000 0.000 Dy
0.500 0.500 0.500 Te
```

=====

Please write out number 8 again, unchanged.
Calculated PXRD pattern of DyTe for copper Kα, from a structure optimized by DFT (GGA-PBE).
No peak broadening, texture or thermal motion is included.

Main lines, most intense first (2θ = 10–90°):
two_theta  d_spacing  Rel. int.
29.00  3.079  1000
41.47  2.177  760
68.09  1.377  348
51.40  1.778  272
75.65  1.257  258
60.09  1.540  127
25.04  3.556  30
49.06  1.857  16

Atomic structure:
```
DyTe
1.0
0.000 3.079 3.079
3.079 0.000 3.079
3.079 3.079 0.000
Dy Te
1 1
Direct
0.000 0.000 0.000 Dy
0.500 0.500 0.500 Te
```

=====

> What is the formula in the fourth record?

Dy5Sn13